For LaH7W2, a GGA-PBE-relaxed structure gives the calculated XRD peak list in this record (Cu Kα (weighted mean of Kα1 and Kα2)).
Neutral-atom scattering factors, no anomalous dispersion.

Top 12 peaks for 10 to 90 degrees two-theta, sorted by position:
2theta, I/Imax, (hkl)
25.52, 13, 0 0 1
31.42, 42, 0 2 1
32.16, 100, 1 3 0
34.23, 28, 2 0 0
41.51, 10, 1 3 1
47.14, 28, 2 2 1
52.43, 9, 0 0 2
56.45, 24, 1 5 1
59.99, 17, 3 3 0
62.87, 18, 1 3 2
64.12, 9, 2 0 2
78.09, 9, 3 5 1

Cell and atoms:
```
data_LaH7W2
_cell_length_a 5.2392
_cell_length_b 9.8482
_cell_length_c 3.4902
_cell_angle_alpha 90.00
_cell_angle_beta 90.00
_cell_angle_gamma 90.00
_symmetry_space_group_name_H-M 'C m m m'
_symmetry_Int_Tables_number 65
_symmetry_space_group_name_Hall '-C 2 2'
loop_
_atom_site_label
_atom_site_type_symbol
_atom_site_fract_x
_atom_site_fract_y
_atom_site_fract_z
La1 La 0.0000 0.0000 0.0000
H1 H 0.0000 0.3797 0.0000
H2 H 0.0000 0.5000 0.5000
H3 H 0.1643 0.1439 0.5000
W1 W 0.0000 0.3142 0.5000
```